This entry pairs a crystal structure of Cr3Fe2Sb3O16 with its theoretical X-ray diffraction stick pattern. Radiation: Cu Kα, 1.54184 Å. Structure: the PBE+U geometry in Alexandria.

Structural model:
```
Cr3Fe2Sb3O16
1.0
5.237 -3.028 0.000
5.237 3.028 0.000
-0.135 0.000 9.176
Cr Fe Sb O
3 2 3 16
Direct
0.000 0.000 0.000
0.165 0.663 0.500
0.663 0.165 0.500
0.156 0.156 0.287
0.485 0.485 0.779
0.000 0.496 0.003
0.496 0.000 0.003
0.662 0.662 0.503
0.001 0.500 0.395
0.159 0.660 0.892
0.165 0.165 0.884
0.311 0.876 0.127
0.314 0.314 0.133
0.344 0.781 0.626
0.355 0.355 0.612
0.496 0.496 0.388
0.500 0.001 0.395
0.660 0.159 0.892
0.664 0.664 0.890
0.781 0.344 0.626
0.832 0.832 0.606
0.833 0.833 0.112
0.876 0.311 0.127
0.993 0.993 0.402
```

Largest 6 diffraction maxima, by intensity, 15 to 90 degrees two-theta:
2θ (°)  I/Imax
19.37  100
19.60  56
35.54  48
61.27  36
35.72  33
45.77  22